1.
Computed powder XRD pattern of Co4Mo4O19 for Cu Kα, from DFT lattice parameters and positions (PBE+U).
No peak broadening, texture or thermal motion is included.

Atomic structure:
```
Co4Mo4O19
1.0
6.872 0.000 0.000
1.801 6.707 0.000
1.423 1.818 9.141
Co Mo O
4 4 19
Direct
0.000 0.000 0.000
0.029 0.183 0.275
0.362 0.480 0.661
0.396 0.661 0.935
0.185 0.638 0.288
0.207 0.026 0.647
0.439 0.130 0.023
0.954 0.534 0.914
0.033 0.461 0.296
0.051 0.909 0.221
0.069 0.698 0.983
0.071 0.515 0.732
0.118 0.056 0.476
0.273 0.609 0.460
0.321 0.149 0.204
0.324 0.965 0.953
0.342 0.756 0.715
0.359 0.203 0.640
0.400 0.378 0.899
0.401 0.582 0.161
0.602 0.447 0.615
0.651 0.853 0.429
0.694 0.643 0.906
0.700 0.024 0.030
0.789 0.216 0.321
0.991 0.286 0.038
0.992 0.082 0.775
```

Principal peaks in the range 2θ = 15–90°, by angle:
2θ = 22.54°, d = 3.944 Å, I = 69.6; 2θ = 22.77°, d = 3.906 Å, I = 39.7; 2θ = 25.82°, d = 3.451 Å, I = 36.6; 2θ = 26.68°, d = 3.341 Å, I = 100.0; 2θ = 27.11°, d = 3.290 Å, I = 93.2; 2θ = 29.31°, d = 3.047 Å, I = 82.2; 2θ = 29.65°, d = 3.013 Å, I = 71.1; 2θ = 29.80°, d = 2.998 Å, I = 48.1; 2θ = 30.63°, d = 2.919 Å, I = 35.7; 2θ = 52.78°, d = 1.734 Å, I = 30.9



2.
Computed powder XRD pattern of Li2Fe3F8 for Cu Kα, from DFT lattice parameters and positions (PBE+U).
No peak broadening, texture or thermal motion is included.

Atomic structure:
```
Li2Fe3F8
1.0
5.803 0.000 0.000
0.000 8.539 0.000
-4.624 0.000 7.929
Li Fe F
4 6 16
Direct
0.122 0.197 0.189
0.122 0.303 0.689
0.878 0.697 0.311
0.878 0.803 0.811
0.488 0.147 0.604
0.488 0.353 0.104
0.500 0.000 0.000
0.500 0.500 0.500
0.512 0.647 0.896
0.512 0.853 0.396
0.247 0.700 0.394
0.247 0.800 0.894
0.250 0.152 0.039
0.250 0.348 0.539
0.292 0.053 0.365
0.292 0.447 0.865
0.352 0.106 0.763
0.352 0.394 0.263
0.648 0.606 0.737
0.648 0.894 0.237
0.708 0.553 0.135
0.708 0.947 0.635
0.750 0.652 0.461
0.750 0.848 0.961
0.753 0.200 0.106
0.753 0.300 0.606
```

Principal peaks in the range 2θ = 15–90°, by angle:
2θ = 17.69°, d = 5.013 Å, I = 100.0; 2θ = 20.39°, d = 4.355 Å, I = 25.1; 2θ = 22.92°, d = 3.880 Å, I = 14.3; 2θ = 24.76°, d = 3.596 Å, I = 38.1; 2θ = 26.01°, d = 3.426 Å, I = 16.0; 2θ = 33.01°, d = 2.714 Å, I = 9.6; 2θ = 35.56°, d = 2.525 Å, I = 11.3; 2θ = 40.83°, d = 2.210 Å, I = 30.8; 2θ = 45.13°, d = 2.009 Å, I = 13.9; 2θ = 54.20°, d = 1.692 Å, I = 13.8



3.
Computed powder XRD pattern of LiFeCoO4 for Cu Kα, from DFT lattice parameters and positions (PBE+U).
No peak broadening, texture or thermal motion is included.

Atomic structure:
```
LiFeCoO4
1.0
-2.892 2.988 4.111
2.892 -2.988 4.111
2.892 2.988 -4.111
Li Fe Co O
2 2 2 8
Direct
0.000 0.000 0.000
0.500 0.000 0.500
0.000 0.500 0.500
0.500 0.500 0.000
0.500 0.000 0.000
0.500 0.500 0.500
0.271 0.282 0.511
0.271 0.759 0.989
0.288 0.747 0.541
0.294 0.253 0.041
0.706 0.747 0.959
0.712 0.253 0.459
0.729 0.241 0.011
0.729 0.718 0.489
```

Principal peaks in the range 2θ = 15–90°, by angle:
2θ = 18.35°, d = 4.834 Å, I = 100.0; 2θ = 18.76°, d = 4.731 Å, I = 53.6; 2θ = 35.54°, d = 2.526 Å, I = 17.2; 2θ = 36.05°, d = 2.491 Å, I = 10.2; 2θ = 36.22°, d = 2.480 Å, I = 28.9; 2θ = 37.20°, d = 2.417 Å, I = 12.1; 2θ = 43.56°, d = 2.078 Å, I = 59.0; 2θ = 44.05°, d = 2.056 Å, I = 28.5; 2θ = 57.27°, d = 1.609 Å, I = 10.6; 2θ = 63.68°, d = 1.461 Å, I = 30.5